1.
For GaNi7, DFT lattice parameters and positions (PBE) gives the theoretical X-ray powder pattern in this record (Cu Ka).
Intensities are scaled so that the largest is 100.

Crystal structure
```
data_GaNi7
_chemical_formula_sum 'Ga2 Ni14'
_cell_length_a 2.664
_cell_length_b 2.664
_cell_length_c 37.326
_cell_angle_alpha 90.00
_cell_angle_beta 90.00
_cell_angle_gamma 90.00
_space_group_name_H-M_alt 'P 4 m m'
_space_group_IT_number 99
loop_
_space_group_symop_operation_xyz
'x,y,z'
'-y,x,z'
'-x,-y,z'
'y,-x,z'
'-x,y,z'
'y,x,z'
'x,-y,z'
'-y,-x,z'
loop_
_atom_site_label
_atom_site_type_symbol
_atom_site_fract_x
_atom_site_fract_y
_atom_site_fract_z
_atom_site_occupancy
Ga1 Ga 0.000 0.000 0.000 1
Ga2 Ga 0.500 0.500 0.362 1
Ni1 Ni 0.000 0.000 0.405 1
Ni2 Ni 0.000 0.000 0.490 1
Ni3 Ni 0.000 0.000 0.575 1
Ni4 Ni 0.000 0.000 0.660 1
Ni5 Ni 0.000 0.000 0.744 1
Ni6 Ni 0.000 0.000 0.829 1
Ni7 Ni 0.000 0.000 0.914 1
Ni8 Ni 0.500 0.500 0.448 1
Ni9 Ni 0.500 0.500 0.532 1
Ni10 Ni 0.500 0.500 0.617 1
Ni11 Ni 0.500 0.500 0.702 1
Ni12 Ni 0.500 0.500 0.787 1
Ni13 Ni 0.500 0.500 0.872 1
Ni14 Ni 0.500 0.500 0.956 1
```

Principal peaks in the range 2θ = 5–70°, by angle:
2θ/deg, I/Imax, (hkl)
9.5, 9.9, 0 0 4
11.9, 7.7, 0 0 5
43.2, 41.6, 1 0 11
44.8, 100.0, 1 0 12
48.3, 58.8, 1 1 0
59.4, 8.0, 0 0 24

=====

2.
For LiTbLu, DFT lattice parameters and positions (PBE) gives the theoretical X-ray powder pattern in this record (Cu Ka).
Intensities are scaled so that the largest is 100.

Crystal structure
```
data_LiTbLu
_chemical_formula_sum 'Li4 Tb4 Lu4'
_cell_length_a 7.053
_cell_length_b 7.053
_cell_length_c 7.053
_cell_angle_alpha 90.00
_cell_angle_beta 90.00
_cell_angle_gamma 90.00
_space_group_name_H-M_alt 'F -4 3 m'
_space_group_IT_number 216
_space_group_name_Hall 'F -4 2 3'
loop_
_atom_site_label
_atom_site_type_symbol
_atom_site_fract_x
_atom_site_fract_y
_atom_site_fract_z
_atom_site_occupancy
Li1 Li 0.000 0.000 0.000 1
Tb1 Tb 0.250 0.250 0.250 1
Lu1 Lu 0.250 0.250 0.750 1
```

Principal peaks in the range 2θ = 5–70°, by angle:
2θ/deg, I/Imax, (hkl)
25.3, 100.0, 2 0 0
36.0, 85.0, 2 2 0
44.5, 29.6, 2 2 2
51.9, 15.1, 4 0 0
58.5, 39.6, 4 2 0
64.8, 31.1, 4 2 2